(1)
For TaCuRh, a structure optimized by DFT (GGA-PBE) gives the theoretical powder diffraction line list in this record (Cu Kα (weighted mean of Kα1 and Kα2)).
Lines closer than 0.1° are merged.

Principal peaks in the range 10° ≤ 2θ ≤ 90°, low angle first:
26.32°, 3.386 Å, I 22
39.50°, 2.282 Å, I 100
40.86°, 2.208 Å, I 91
45.55°, 1.991 Å, I 66
49.05°, 1.857 Å, I 27
69.17°, 1.358 Å, I 37
79.19°, 1.210 Å, I 25
81.87°, 1.177 Å, I 23

Atomic structure:
abc: 2.8913 3.7143 8.2399
angles: 90.00 90.00 90.00
Space group Imm2 (No. 44)
Asymmetric unit:
1 Ta 0.0000 0.0000 0.0000 (multiplicity 2)
2 Cu 0.0000 0.0000 0.6679 (multiplicity 2)
3 Rh 0.0000 0.0000 0.3298 (multiplicity 2)



(2)
For Er3Tm5As8, a structure optimized by DFT (GGA-PBE) gives the theoretical powder diffraction line list in this record (Cu Kα (weighted mean of Kα1 and Kα2)).
Lines closer than 0.1° are merged.

Principal peaks in the range 10° ≤ 2θ ≤ 90°, low angle first:
26.83°, 3.323 Å, I 26
31.08°, 2.878 Å, I 100
44.52°, 2.035 Å, I 74
52.75°, 1.735 Å, I 13
55.29°, 1.662 Å, I 26
64.79°, 1.439 Å, I 12
73.60°, 1.287 Å, I 34
82.02°, 1.175 Å, I 25

Atomic structure:
abc: 8.1401 8.1401 19.9362
angles: 90.00 90.00 120.00
Space group R-3m (No. 166, hexagonal axes)
Asymmetric unit:
1 Er 0.0000 0.5000 0.0000 (multiplicity 9)
2 Tm 0.0000 0.0000 0.0000 (multiplicity 3)
3 Tm 0.0000 0.0000 0.5000 (multiplicity 3)
4 Tm 0.0000 0.5000 0.5000 (multiplicity 9)
5 As 0.0000 0.0000 0.2496 (multiplicity 6)
6 As 0.0005 0.5003 0.7503 (multiplicity 18)



(3)
For AlAs3, a structure optimized by DFT (GGA-PBE) gives the theoretical powder diffraction line list in this record (Cu Kα (weighted mean of Kα1 and Kα2)).
Lines closer than 0.1° are merged.

Principal peaks in the range 10° ≤ 2θ ≤ 90°, low angle first:
23.17°, 3.838 Å, I 23
32.25°, 2.776 Å, I 100
33.70°, 2.659 Å, I 48
44.98°, 2.015 Å, I 15
47.34°, 1.920 Å, I 67
47.50°, 1.914 Å, I 18
59.50°, 1.554 Å, I 18
80.01°, 1.199 Å, I 15

Atomic structure:
abc: 7.6569 8.0618 5.3186
angles: 90.00 90.00 90.00
Space group Cmcm (No. 63)
Asymmetric unit:
1 Al 0.0000 0.2302 0.2500 (multiplicity 4)
2 As 0.0000 0.2809 0.7500 (multiplicity 4)
3 As 0.2439 0.4827 0.7500 (multiplicity 8)



(4)
For Ce2AlPd6, a structure optimized by DFT (GGA-PBE) gives the theoretical powder diffraction line list in this record (Cu Kα (weighted mean of Kα1 and Kα2)).
Lines closer than 0.1° are merged.

Principal peaks in the range 10° ≤ 2θ ≤ 90°, low angle first:
30.39°, 2.941 Å, I 27
35.46°, 2.531 Å, I 20
36.12°, 2.487 Å, I 21
39.33°, 2.291 Å, I 100
47.90°, 1.899 Å, I 19
64.94°, 1.436 Å, I 17
73.38°, 1.290 Å, I 12
78.64°, 1.217 Å, I 13

Atomic structure:
abc: 5.7436 5.7436 5.8816
angles: 90.00 90.00 120.00
Space group P-3m1 (No. 164)
Asymmetric unit:
1 Ce 0.3333 0.6667 0.3039 (multiplicity 2)
2 Al 0.0000 0.0000 0.5000 (multiplicity 1)
3 Pd 0.1716 0.3431 0.8071 (multiplicity 6)



(5)
For Er4Ag5Sb7, a structure optimized by DFT (GGA-PBE) gives the theoretical powder diffraction line list in this record (Cu Kα (weighted mean of Kα1 and Kα2)).
Lines closer than 0.1° are merged.

Principal peaks in the range 10° ≤ 2θ ≤ 90°, low angle first:
26.90°, 3.314 Å, I 10
33.90°, 2.644 Å, I 17
34.30°, 2.614 Å, I 100
40.16°, 2.246 Å, I 9
42.51°, 2.126 Å, I 31
55.45°, 1.657 Å, I 16
61.69°, 1.504 Å, I 10
72.52°, 1.303 Å, I 21

Atomic structure:
abc: 6.0146 6.0146 21.1546
angles: 90.00 90.00 90.00
Space group I-42m (No. 121)
Asymmetric unit:
1 Er 0.2404 0.2404 0.1178 (multiplicity 8)
2 Ag 0.0000 0.0000 0.2470 (multiplicity 4)
3 Ag 0.0000 0.0000 0.5000 (multiplicity 2)
4 Ag 0.0000 0.5000 0.2500 (multiplicity 4)
5 Sb 0.0000 0.0000 0.0000 (multiplicity 2)
6 Sb 0.0000 0.5000 0.0000 (multiplicity 4)
7 Sb 0.2409 0.2409 0.3447 (multiplicity 8)



(6)
For ScPa3Sb4, a structure optimized by DFT (GGA-PBE) gives the theoretical powder diffraction line list in this record (Cu Kα (weighted mean of Kα1 and Kα2)).
Lines closer than 0.1° are merged.

Principal peaks in the range 10° ≤ 2θ ≤ 90°, low angle first:
29.23°, 3.056 Å, I 100
41.81°, 2.161 Å, I 51
41.91°, 2.155 Å, I 13
51.73°, 1.767 Å, I 13
51.92°, 1.761 Å, I 14
68.69°, 1.367 Å, I 23
76.21°, 1.249 Å, I 13
76.46°, 1.246 Å, I 13

Atomic structure:
abc: 8.6662 12.2204 4.3109
angles: 90.00 90.00 90.00
Space group Cmmm (No. 65)
Asymmetric unit:
1 Sc 0.0000 0.0000 0.0000 (multiplicity 2)
2 Pa 0.0000 0.5000 0.0000 (multiplicity 2)
3 Pa 0.2500 0.2500 0.5000 (multiplicity 4)
4 Sb 0.0000 0.2433 0.0000 (multiplicity 4)
5 Sb 0.2385 0.0000 0.5000 (multiplicity 4)



(7)
For Mg2Br, a structure optimized by DFT (GGA-PBE) gives the theoretical powder diffraction line list in this record (Cu Kα (weighted mean of Kα1 and Kα2)).
Lines closer than 0.1° are merged.

Principal peaks in the range 10° ≤ 2θ ≤ 90°, low angle first:
17.34°, 5.115 Å, I 50
21.27°, 4.178 Å, I 100
22.29°, 3.988 Å, I 90
26.66°, 3.343 Å, I 76
30.23°, 2.956 Å, I 52
30.48°, 2.933 Å, I 46
31.46°, 2.843 Å, I 54
39.10°, 2.304 Å, I 65

Atomic structure:
abc: 5.3951 3.5792 9.6321
angles: 90.00 103.55 90.00
Space group Pm (No. 6)
Asymmetric unit:
1 Mg 0.0000 0.0000 0.0000 (multiplicity 1)
2 Mg 0.2158 0.5000 0.2511 (multiplicity 1)
3 Mg 0.4722 0.5000 0.9773 (multiplicity 1)
4 Mg 0.7067 0.0000 0.2624 (multiplicity 1)
5 Br 0.5839 0.0000 0.7866 (multiplicity 1)
6 Br 0.9567 0.5000 0.4591 (multiplicity 1)



(8)
For Zr2AlZn2Rh5, a structure optimized by DFT (GGA-PBE) gives the theoretical powder diffraction line list in this record (Cu Kα (weighted mean of Kα1 and Kα2)).
Lines closer than 0.1° are merged.

Principal peaks in the range 10° ≤ 2θ ≤ 90°, low angle first:
33.02°, 2.713 Å, I 16
39.30°, 2.292 Å, I 49
39.47°, 2.283 Å, I 100
40.49°, 2.228 Å, I 17
42.94°, 2.106 Å, I 47
51.68°, 1.769 Å, I 23
66.81°, 1.400 Å, I 20
68.11°, 1.377 Å, I 15

Atomic structure:
abc: 9.4515 9.4515 3.5374
angles: 90.00 90.00 90.00
Space group P4/mbm (No. 127)
Asymmetric unit:
1 Zr 0.1730 0.3270 0.0000 (multiplicity 4)
2 Al 0.0000 0.0000 0.0000 (multiplicity 2)
3 Zn 0.1260 0.6260 0.0000 (multiplicity 4)
4 Rh 0.0000 0.5000 0.5000 (multiplicity 2)
5 Rh 0.0765 0.8040 0.5000 (multiplicity 8)